No. 1
Calculated powder diffraction line list of KLaCO4 for copper Kα, from a cell relaxed with PBE.

Structure:
```
KLaCO4
1.0
5.9589 0.0000 0.0000
0.0000 16.6651 0.0000
0.0000 0.0000 5.9284
K La C O
4 4 4 16
direct
0.0000 0.0764 0.2500
0.0000 0.9236 0.7500
0.5000 0.0764 0.7500
0.5000 0.9236 0.2500
0.0000 0.4278 0.2500
0.0000 0.5722 0.7500
0.5000 0.4278 0.7500
0.5000 0.5722 0.2500
0.0000 0.2631 0.2500
0.0000 0.7369 0.7500
0.5000 0.2631 0.7500
0.5000 0.7369 0.2500
0.0000 0.0769 0.7500
0.0000 0.9231 0.2500
0.1247 0.2955 0.1104
0.1247 0.7045 0.6103
0.2500 0.5000 0.4903
0.2500 0.5000 0.9903
0.3753 0.2955 0.6103
0.3753 0.7045 0.1104
0.5000 0.0769 0.2500
0.5000 0.9231 0.7500
0.6247 0.2955 0.8896
0.6247 0.7045 0.3896
0.7500 0.5000 0.0097
0.7500 0.5000 0.5097
0.8753 0.2955 0.3896
0.8753 0.7045 0.8896
```

Main lines, low angle first (2θ from 5° to 70°):
2theta, d/Å, intensity
5.30, 16.665, 100
10.62, 8.333, 22
21.81, 4.075, 20
23.71, 3.752, 16
26.60, 3.352, 23
29.99, 2.979, 8
30.18, 2.962, 15
34.34, 2.611, 11
43.04, 2.101, 8
44.60, 2.032, 6


No. 2
Calculated powder diffraction line list of KLaCO4 for copper Kα, from a cell relaxed with PBE.

Structure:
```
KLaCO4
1.0
3.6861 0.0000 0.0000
0.0000 4.7606 0.0000
0.0000 0.0000 12.1964
K La C O
2 2 2 8
direct
0.2500 0.2500 0.1058
0.7500 0.7500 0.8942
0.2500 0.2500 0.4022
0.7500 0.7500 0.5978
0.2500 0.2500 0.7850
0.7500 0.7500 0.2150
0.2500 0.0129 0.7325
0.2500 0.2500 0.8920
0.2500 0.4871 0.7325
0.2500 0.7500 0.4858
0.7500 0.2500 0.5142
0.7500 0.5129 0.2675
0.7500 0.7500 0.1080
0.7500 0.9871 0.2675
```

Main lines, low angle first (2θ from 5° to 70°):
2theta, d/Å, intensity
7.25, 12.196, 100
20.02, 4.435, 19
23.71, 3.753, 25
28.29, 3.155, 16
28.88, 3.092, 35
30.68, 2.915, 42
32.80, 2.731, 38
37.79, 2.380, 11
42.93, 2.107, 24
55.08, 1.667, 12


No. 3
Calculated powder diffraction line list of KLaC4O11 for copper Kα, from a cell relaxed with PBE.

Structure:
```
KLaC4O11
1.0
6.6075 0.0000 0.0000
-1.1948 7.6732 0.0000
-2.3378 -3.9786 11.4161
K La C O
2 2 8 22
direct
0.1307 0.4188 0.3256
0.8693 0.5812 0.6744
0.1080 0.1299 0.7859
0.8920 0.8701 0.2141
0.0147 0.1034 0.5029
0.0166 0.9020 0.9700
0.3771 0.7698 0.2243
0.4166 0.9821 0.2431
0.5834 0.0179 0.7569
0.6229 0.2302 0.7757
0.9834 0.0980 0.0300
0.9853 0.8966 0.4971
0.0063 0.1338 0.4068
0.0340 0.2205 0.9851
0.0442 0.2231 0.6027
0.0926 0.8817 0.8810
0.1943 0.6941 0.2261
0.2627 0.0583 0.2529
0.2905 0.5846 0.9196
0.3494 0.6205 0.6538
0.3966 0.9413 0.7513
0.4675 0.6849 0.9465
0.4681 0.3046 0.7880
0.5319 0.6954 0.2120
0.5325 0.3151 0.0535
0.6034 0.0587 0.2487
0.6506 0.3795 0.3462
0.7095 0.4154 0.0804
0.7373 0.9417 0.7471
0.8057 0.3059 0.7739
0.9074 0.1183 0.1190
0.9558 0.7769 0.3973
0.9660 0.7795 0.0149
0.9937 0.8662 0.5932
```

Main lines, low angle first (2θ from 5° to 70°):
2theta, d/Å, intensity
12.19, 7.260, 97
14.00, 6.325, 98
15.52, 5.708, 100
16.30, 5.437, 55
16.46, 5.385, 90
23.19, 3.836, 32
28.19, 3.166, 64
29.63, 3.015, 55
29.90, 2.988, 41
36.80, 2.442, 38


No. 4
Calculated powder diffraction line list of K2LaPCO7 for copper Kα, from a cell relaxed with PBE.

Structure:
```
K2LaPCO7
1.0
5.7387 0.0000 0.0000
0.0000 7.4301 0.0000
-0.4856 0.0000 10.1655
K La P C O
4 2 2 2 14
direct
0.2444 0.0130 0.2102
0.2444 0.4870 0.2102
0.7556 0.5130 0.7898
0.7556 0.9870 0.7898
0.2158 0.2500 0.6174
0.7842 0.7500 0.3826
0.2950 0.7500 0.5731
0.7050 0.2500 0.4269
0.2699 0.2500 0.9038
0.7301 0.7500 0.0962
0.0608 0.2500 0.8444
0.2022 0.5771 0.6393
0.2022 0.9229 0.6393
0.2102 0.7500 0.4237
0.3030 0.2500 0.0273
0.4315 0.2500 0.4189
0.4454 0.2500 0.8230
0.5546 0.7500 0.1770
0.5685 0.7500 0.5811
0.6970 0.7500 0.9727
0.7898 0.2500 0.5763
0.7978 0.0771 0.3607
0.7978 0.4229 0.3607
0.9392 0.7500 0.1556
```

Main lines, low angle first (2θ from 5° to 70°):
2theta, d/Å, intensity
8.70, 10.166, 100
14.77, 5.999, 39
19.56, 4.539, 37
22.82, 3.896, 26
23.95, 3.716, 53
25.53, 3.489, 19
29.77, 3.001, 41
30.20, 2.959, 22
31.24, 2.863, 43
37.34, 2.408, 18


No. 5
Calculated powder diffraction line list of KLiC4N6 for copper Kα, from a cell relaxed with PBE.

Structure:
```
KLiC4N6
1.0
-3.6421 3.6421 7.1047
3.6421 -3.6421 7.1047
3.6421 3.6421 -7.1047
K Li C N
2 2 8 12
direct
0.2500 0.2500 0.0000
0.7500 0.7500 0.0000
0.2500 0.7500 0.5000
0.7500 0.2500 0.5000
0.1170 0.6170 0.8957
0.2214 0.1170 0.5000
0.2786 0.7786 0.8957
0.3830 0.2786 0.5000
0.6170 0.7214 0.5000
0.7214 0.2214 0.1043
0.7786 0.8830 0.5000
0.8830 0.3830 0.1043
0.0027 0.5027 0.1889
0.1863 0.9973 0.5000
0.2443 0.2557 0.5000
0.2557 0.7557 0.0115
0.3137 0.8137 0.8111
0.4973 0.6863 0.5000
0.5027 0.3137 0.5000
0.6863 0.1863 0.1889
0.7443 0.2443 0.9885
0.7557 0.7443 0.5000
0.8137 0.0027 0.5000
0.9973 0.4973 0.8111
```

Main lines, low angle first (2θ from 5° to 70°):
2theta, d/Å, intensity
21.31, 4.170, 26
24.44, 3.642, 17
27.52, 3.241, 100
28.10, 3.175, 53
30.57, 2.924, 25
33.38, 2.684, 29
34.84, 2.575, 41
35.29, 2.543, 15
39.11, 2.303, 28
58.10, 1.588, 16


No. 6
Calculated powder diffraction line list of K2LiC3S3N3 for copper Kα, from a cell relaxed with PBE.

Structure:
```
K2LiC3S3N3
1.0
12.3934 0.0000 0.0000
0.0000 9.6635 0.0000
0.0000 0.0000 8.7259
K Li C S N
8 4 12 12 12
direct
0.1704 0.1177 0.0000
0.1762 0.1302 0.5013
0.3238 0.6302 0.0013
0.3296 0.6177 0.5000
0.6704 0.3823 0.0000
0.6762 0.3698 0.5013
0.8238 0.8698 0.0013
0.8296 0.8823 0.5000
0.0822 0.4650 0.3586
0.4178 0.9650 0.8586
0.5822 0.0350 0.3586
0.9178 0.5350 0.8586
0.0472 0.7689 0.7475
0.1119 0.7503 0.2549
0.1317 0.4336 0.7074
0.3683 0.9336 0.2074
0.3881 0.2503 0.7549
0.4528 0.2689 0.2475
0.5472 0.7311 0.7475
0.6119 0.7497 0.2549
0.6317 0.0664 0.7074
0.8683 0.5664 0.2074
0.8881 0.2497 0.7549
0.9528 0.2311 0.2475
0.0488 0.8981 0.2449
0.1167 0.4368 0.8929
0.1687 0.8311 0.7307
0.3313 0.3311 0.2307
0.3833 0.9368 0.3929
0.4512 0.3981 0.7449
0.5488 0.6019 0.2449
0.6167 0.0632 0.8929
0.6687 0.6689 0.7307
0.8313 0.1689 0.2307
0.8833 0.5632 0.3929
0.9512 0.1019 0.7449
0.0418 0.2764 0.2609
0.1415 0.4316 0.5718
0.1568 0.6418 0.2634
0.3432 0.1418 0.7634
0.3585 0.9316 0.0718
0.4582 0.7764 0.7609
0.5418 0.2236 0.2609
0.6415 0.0684 0.5718
0.6568 0.8582 0.2634
0.8432 0.3582 0.7634
0.8585 0.5684 0.0718
0.9582 0.7236 0.7609
```

Main lines, low angle first (2θ from 5° to 70°):
2theta, d/Å, intensity
24.96, 3.567, 31
25.56, 3.485, 20
26.64, 3.347, 100
28.48, 3.134, 81
28.82, 3.098, 18
29.56, 3.022, 24
30.26, 2.954, 46
31.22, 2.865, 22
31.30, 2.858, 24
36.78, 2.444, 18


No. 7
Calculated powder diffraction line list of K2LiNb2P2C2O14 for copper Kα, from a cell relaxed with PBE.

Structure:
```
K2LiNb2P2C2O14
1.0
5.2829 0.0000 0.0000
0.0209 6.6069 0.0000
0.4514 0.4327 10.5034
K Li Nb P C O
2 1 2 2 2 14
direct
0.0000 0.0000 0.0000
0.4980 0.4948 0.4505
0.9884 0.5031 0.1339
0.0331 0.1202 0.5662
0.4588 0.6071 0.8653
0.5313 0.1165 0.7845
0.9588 0.6207 0.6519
0.5471 0.6249 0.1105
0.9857 0.1872 0.3252
0.0206 0.4387 0.5667
0.0235 0.8144 0.5660
0.1196 0.6155 0.7705
0.2065 0.1648 0.3783
0.3140 0.6187 0.0691
0.3667 0.1331 0.6675
0.4636 0.9230 0.8695
0.4763 0.2953 0.8744
0.6081 0.6380 0.2228
0.6730 0.6185 0.6878
0.7263 0.6156 0.0162
0.7912 0.1608 0.4081
0.8166 0.1117 0.7455
0.9627 0.2339 0.2084
```

Main lines, low angle first (2θ from 5° to 70°):
2theta, d/Å, intensity
8.42, 10.503, 100
15.56, 5.696, 21
16.15, 5.488, 12
18.49, 4.799, 12
19.14, 4.637, 19
21.56, 4.122, 35
23.38, 3.805, 29
24.42, 3.646, 14
27.01, 3.301, 32
33.97, 2.639, 13


No. 8
Calculated powder diffraction line list of K2LiNb2P2C2O14 for copper Kα, from a cell relaxed with PBE.

Structure:
```
K2LiNb2P2C2O14
1.0
5.3162 0.0000 0.0000
0.0437 6.6008 0.0000
0.5191 0.5818 10.1808
K Li Nb P C O
2 1 2 2 2 14
direct
0.0000 0.0000 0.0000
0.4938 0.4324 0.5434
0.0031 0.5178 0.8280
0.5309 0.5957 0.1149
0.9631 0.0609 0.4289
0.0276 0.5787 0.3351
0.4695 0.0900 0.2029
0.0083 0.1493 0.6674
0.4338 0.6244 0.8629
0.0301 0.2364 0.7734
0.1874 0.0903 0.2473
0.2024 0.1068 0.5864
0.2603 0.6197 0.9639
0.3116 0.5722 0.2969
0.3634 0.6286 0.7480
0.5174 0.9127 0.1092
0.5370 0.2841 0.1139
0.6379 0.0702 0.3206
0.6678 0.6197 0.9006
0.7902 0.1007 0.6218
0.8677 0.6119 0.2142
0.9512 0.3828 0.4179
0.9790 0.7560 0.4302
```

Main lines, low angle first (2θ from 5° to 70°):
2theta, d/Å, intensity
8.69, 10.181, 100
16.44, 5.394, 25
18.45, 4.808, 15
19.24, 4.613, 25
21.49, 4.135, 43
23.59, 3.771, 32
24.84, 3.585, 16
27.06, 3.295, 37
27.85, 3.203, 15
33.77, 2.654, 21